This entry pairs a crystal structure of Na2H2Cl5 with its calculated PXRD pattern. Radiation: Cu Kα, 1.54184 Å. Structure: the GGA-PBE geometry in Alexandria.
No peak broadening, texture or thermal motion is included.

Cell and atoms:
a = 22.7684 Å, b = 11.0888 Å, c = 4.2964 Å
α = 90.00°, β = 90.00°, γ = 90.00°
Space group Ima2 (No. 46)
Symmetry-distinct sites (fractional):
Na  0.1180  0.0001  0.0000 (multiplicity 8)
H  0.0000  0.0000  0.5000 (multiplicity 4)
H  0.2500  0.0845  0.5000 (multiplicity 4)
Cl  0.0521  0.5913  0.0000 (multiplicity 8)
Cl  0.1816  0.0833  0.5000 (multiplicity 8)
Cl  0.2500  0.7211  0.5016 (multiplicity 4)

Top 10 peaks for 2θ from 10° to 90°, in order of rising 2θ:
2theta  Rel. int.  index
15.99  71.5  0 2 0
21.09  95.3  5 1 0
22.19  51.1  0 1 1
22.38  52.6  4 2 0
24.40  42.1  1 3 0
26.83  71.1  3 3 0
28.80  69.0  3 2 1
32.90  51.2  5 2 1
38.81  100.0  8 1 1
46.05  50.3  0 5 1